Record 1
The following is a calculated powder diffraction line list of LaBeTc. It was derived from DFT lattice parameters and positions (GGA-PBE), using a wavelength of 1.5418 Å.

Atomic structure:
```
data_LaBeTc
_symmetry_space_group_name_H-M 'I 4 m m'
_symmetry_Int_Tables_number 107
_symmetry_space_group_name_Hall 'I 4 -2'
_cell_length_a 3.355
_cell_length_b 3.355
_cell_length_c 9.783
_cell_angle_alpha 90.00
_cell_angle_beta 90.00
_cell_angle_gamma 90.00
loop_
_atom_site_label
_atom_site_type_symbol
_atom_site_fract_x
_atom_site_fract_y
_atom_site_fract_z
La1 La 0.000 0.000 0.000
Be1 Be 0.000 0.000 0.281
Tc1 Tc 0.000 0.000 0.737
```

Top 8 peaks for 2θ from 10° to 90°, sorted by position:
(1 0 1), d = 3.173 Å, rel. 100
(0 0 4), d = 2.446 Å, rel. 28
(1 1 0), d = 2.372 Å, rel. 53
(1 0 3), d = 2.338 Å, rel. 62
(1 1 4), d = 1.703 Å, rel. 36
(2 0 0), d = 1.677 Å, rel. 18
(2 1 1), d = 1.483 Å, rel. 20
(2 1 3), d = 1.363 Å, rel. 22

Record 2
The following is a calculated powder diffraction line list of ZnGe2Bi2Pt7. It was derived from DFT lattice parameters and positions (GGA-PBE), using a wavelength of 1.5418 Å.

Atomic structure:
```
data_ZnGe2Bi2Pt7
_symmetry_space_group_name_H-M 'C 1 2/m 1'
_symmetry_Int_Tables_number 12
_symmetry_space_group_name_Hall '-C 2y'
_cell_length_a 5.613
_cell_length_b 5.611
_cell_length_c 15.534
_cell_angle_alpha 90.00
_cell_angle_beta 100.35
_cell_angle_gamma 90.00
loop_
_atom_site_label
_atom_site_type_symbol
_atom_site_fract_x
_atom_site_fract_y
_atom_site_fract_z
Zn1 Zn 0.000 0.000 0.000
Ge1 Ge 0.115 0.500 0.231
Bi1 Bi 0.211 0.000 0.421
Pt1 Pt 0.000 0.500 0.000
Pt2 Pt 0.185 0.250 0.870
Pt3 Pt 0.196 0.500 0.391
```

Top 8 peaks for 2θ from 10° to 90°, sorted by position:
(0 0 2), d = 7.640 Å, rel. 37
(0 0 4), d = 3.820 Å, rel. 45
(2 0 0), d = 2.760 Å, rel. 83
(2 0 -4), d = 2.458 Å, rel. 67
(2 0 4), d = 2.067 Å, rel. 100
(2 2 -1), d = 1.984 Å, rel. 79
(0 4 0), d = 1.403 Å, rel. 26
(4 2 3), d = 1.161 Å, rel. 32

Record 3
The following is a calculated powder diffraction line list of PrY2ZrN4. It was derived from DFT lattice parameters and positions (GGA-PBE), using a wavelength of 1.5418 Å.

Atomic structure:
```
data_PrY2ZrN4
_symmetry_space_group_name_H-M 'P 1 2/m 1'
_symmetry_Int_Tables_number 10
_symmetry_space_group_name_Hall '-P 2y'
_cell_length_a 5.986
_cell_length_b 3.463
_cell_length_c 6.038
_cell_angle_alpha 90.00
_cell_angle_beta 109.22
_cell_angle_gamma 90.00
loop_
_atom_site_label
_atom_site_type_symbol
_atom_site_fract_x
_atom_site_fract_y
_atom_site_fract_z
Pr1 Pr 0.000 0.000 0.000
Y1 Y 0.500 0.000 0.500
Y2 Y 0.500 0.500 0.000
Zr1 Zr 0.000 0.500 0.500
N1 N 0.241 0.000 0.731
N2 N 0.249 0.500 0.270
```

Top 8 peaks for 2θ from 10° to 90°, sorted by position:
(0 0 2), d = 2.851 Å, rel. 30
(2 0 0), d = 2.827 Å, rel. 88
(1 1 1), d = 2.454 Å, rel. 100
(2 0 2), d = 1.740 Å, rel. 33
(0 2 0), d = 1.730 Å, rel. 33
(3 1 1), d = 1.479 Å, rel. 17
(3 1 -3), d = 1.477 Å, rel. 17
(4 0 0), d = 1.414 Å, rel. 16